The following is a calculated powder diffraction line list of Ac2Te4Au. It was derived from the PBE geometry in Alexandria, using a wavelength of 1.5418 Å.

Largest 8 diffraction maxima, in order of rising 2θ, 5 to 70 degrees two-theta:
- hkl 2 0 -2, 2θ 25.6, intensity 83
- hkl 0 2 0, 2θ 27.6, intensity 45
- hkl 1 1 2, 2θ 29.2, intensity 96
- hkl 1 2 0, 2θ 30.0, intensity 52
- hkl 0 2 2, 2θ 34.2, intensity 57
- hkl 2 2 0, 2θ 36.2, intensity 53
- hkl 2 1 2, 2θ 37.4, intensity 100
- hkl 1 0 -4, 2θ 38.4, intensity 53

abc: 8.101 6.458 9.380
angles: 90.00 106.73 90.00
Fractional positions:
1 Ac 0.225 0.250 0.434
2 Ac 0.250 0.250 0.936
3 Ac 0.750 0.750 0.064
4 Ac 0.775 0.750 0.566
5 Te 0.081 0.750 0.373
6 Te 0.083 0.750 0.915
7 Te 0.487 0.506 0.252
8 Te 0.487 0.994 0.252
9 Te 0.513 0.006 0.748
10 Te 0.513 0.494 0.748
11 Te 0.917 0.250 0.085
12 Te 0.919 0.250 0.627
13 Au 0.205 0.750 0.674
14 Au 0.795 0.250 0.326